Structure and computed powder diffractogram of Sr6Li2Cr2N8O (a crystal structure in Alexandria, relaxed with PBE+U; a wavelength of 1.5418 Å).
Lines closer than 0.1° are merged.

Main lines, low angle first (2θ = 10–90°):
| 2theta | I/Imax | h k l |
| --- | --- | --- |
| 27.10 | 52.0 | 1 2 0 |
| 27.32 | 54.4 | 0 1 2 |
| 29.74 | 41.4 | 0 2 1 |
| 30.02 | 33.0 | 2 1 0 |
| 31.49 | 64.4 | 2 0 0 |
| 32.18 | 69.2 | 1 -1 2 |
| 33.21 | 100.0 | 1 1 -2 |
| 33.43 | 52.0 | 2 1 2 |
| 36.24 | 44.2 | 1 -2 0 |
| 36.50 | 29.6 | 1 1 3 |

Crystal structure
```
Sr6Li2Cr2N8O
1.0
6.209 0.000 0.000
2.350 6.444 0.000
1.956 0.371 7.353
Sr Li Cr N O
6 2 2 8 1
Cartesian
2.601 1.386 3.450
3.428 1.214 6.842
4.681 4.256 5.135
5.834 2.559 2.219
7.087 5.601 0.511
7.915 5.429 3.903
3.041 3.196 0.675
7.474 3.620 6.678
4.135 5.172 1.850
6.380 1.643 5.504
0.754 0.172 1.955
3.380 3.791 2.636
4.420 4.805 0.164
5.670 5.427 2.681
4.845 1.388 4.673
6.095 2.010 7.190
7.135 3.024 4.718
9.761 6.644 5.398
1.175 3.222 0.000
```